(1)
Calculated powder diffraction line list of Sc2CrAs for λ = 1.5418 Å (Cu Kα), from a structure optimized by DFT (PBE).
Peak positions follow from Bragg's law for the DFT cell and can differ from measured ones.

The 10 most intense peaks (15° ≤ 2θ ≤ 90°), by angle:
| d/Å | I/Imax |
| --- | --- |
| 5.185 | 24.7 |
| 3.464 | 22.7 |
| 2.624 | 100.0 |
| 2.592 | 21.9 |
| 2.518 | 25.4 |
| 2.179 | 43.9 |
| 2.134 | 83.6 |
| 2.010 | 30.1 |
| 1.837 | 22.3 |
| 1.405 | 19.6 |

Crystal structure
Lattice parameters (Å, degrees): 4.020 3.675 10.370 90.00 90.00 90.00
Atoms (fractional coordinates):
Sc (0.000, 0.000, 0.000)
Sc (0.000, 0.500, 0.500)
Sc (0.500, 0.000, 0.289)
Sc (0.500, 0.500, 0.789)
Cr (0.000, 0.000, 0.723)
Cr (0.000, 0.500, 0.223)
As (0.500, 0.000, 0.569)
As (0.500, 0.500, 0.069)

=====

(2)
Calculated powder diffraction line list of DyGa8Rh2 for λ = 1.5418 Å (Cu Kα), from a structure optimized by DFT (PBE).
Peak positions follow from Bragg's law for the DFT cell and can differ from measured ones.

The 10 most intense peaks (15° ≤ 2θ ≤ 90°), by angle:
| d/Å | I/Imax |
| --- | --- |
| 3.475 | 59.3 |
| 3.175 | 47.9 |
| 2.837 | 67.8 |
| 2.732 | 69.6 |
| 2.550 | 86.0 |
| 2.485 | 48.5 |
| 2.332 | 49.9 |
| 2.190 | 100.0 |
| 2.155 | 85.3 |
| 1.822 | 61.9 |

Crystal structure
Lattice parameters (Å, degrees): 6.675 6.675 4.803 97.47 97.47 101.12
Atoms (fractional coordinates):
Dy (0.000, 0.000, 0.000)
Ga (0.099, 0.350, 0.612)
Ga (0.294, 0.706, 0.000)
Ga (0.350, 0.099, 0.612)
Ga (0.374, 0.374, 0.227)
Ga (0.626, 0.626, 0.773)
Ga (0.650, 0.901, 0.388)
Ga (0.706, 0.294, 0.000)
Ga (0.901, 0.650, 0.388)
Rh (0.285, 0.715, 0.500)
Rh (0.715, 0.285, 0.500)

=====

(3)
Calculated powder diffraction line list of BiHAuIN for λ = 1.5418 Å (Cu Kα), from a structure optimized by DFT (PBE).
Peak positions follow from Bragg's law for the DFT cell and can differ from measured ones.

The 10 most intense peaks (15° ≤ 2θ ≤ 90°), by angle:
| d/Å | I/Imax |
| --- | --- |
| 4.314 | 50.9 |
| 3.255 | 76.1 |
| 3.006 | 44.2 |
| 2.926 | 71.6 |
| 2.858 | 71.9 |
| 2.580 | 100.0 |
| 2.441 | 40.3 |
| 2.415 | 42.4 |
| 2.065 | 51.6 |
| 1.826 | 44.1 |

Crystal structure
Lattice parameters (Å, degrees): 3.815 4.996 6.386 77.77 89.89 89.98
Atoms (fractional coordinates):
Bi (0.000, 0.000, 0.000)
H (0.499, 0.053, 0.326)
Au (0.499, 0.578, 0.204)
I (0.999, 0.585, 0.647)
N (0.500, 0.160, 0.168)